Theoretical powder diffraction line list
Compound: Pm12Ga5N2
Radiation: Cu Ka
Structure: the PBE geometry in Alexandria
Kinematic intensities with the Lorentz-polarization factor, no thermal factor.

Main lines, by angle (2θ from 10° to 80°):
d_spacing	Rel. int.
3.295	23
2.920	80
2.801	100
2.662	88
2.605	21
2.197	19
1.908	20
1.818	19
1.695	24
1.543	25

Structural model:
```
data_Pm12Ga5N2
_chemical_formula_sum 'Pm12 Ga5 N2'
_space_group_name_H-M_alt 'P 1'
_space_group_IT_number 1
_cell_length_a 9.675
_cell_length_b 9.675
_cell_length_c 9.675
_cell_angle_alpha 135.86
_cell_angle_beta 125.97
_cell_angle_gamma 72.24
loop_
_space_group_symop_operation_xyz
'x,y,z'
loop_
_atom_site_label
_atom_site_fract_x
_atom_site_fract_y
_atom_site_fract_z
Pm1 0.156 0.409 0.253
Pm2 0.156 0.903 0.747
Pm3 0.181 0.000 0.181
Pm4 0.202 0.500 0.702
Pm5 0.356 0.113 0.756
Pm6 0.356 0.600 0.244
Pm7 0.644 0.400 0.756
Pm8 0.644 0.887 0.244
Pm9 0.798 0.500 0.298
Pm10 0.819 0.000 0.819
Pm11 0.844 0.097 0.253
Pm12 0.844 0.591 0.747
Ga1 0.001 0.251 0.750
Ga2 0.499 0.749 0.750
Ga3 0.500 0.000 0.500
Ga4 0.501 0.251 0.250
Ga5 0.999 0.749 0.250
N1 0.000 0.263 0.263
N2 0.000 0.737 0.737
```